# 1
Starting from a DFT-relaxed cell (GGA-PBE, Alexandria), the powder diffraction line list of SbSe6IF6 was simulated for Cu Ka.

The 6 most intense peaks (10 to 90 degrees two-theta), sorted by position:
2θ/deg, Rel. int.
10.72, 42.7
16.22, 53.7
19.26, 86.2
24.30, 91.9
26.73, 100.0
32.20, 52.8

Crystal structure
a b c (Å): 9.522 7.291 12.034
angles (deg): 90.00 119.89 90.00
Element x y z (fractional)
Sb  0.000  0.000  0.000
Sb  0.000  0.000  0.500
Se  0.242  0.433  0.384
Se  0.242  0.567  0.884
Se  0.339  0.259  0.888
Se  0.339  0.741  0.388
Se  0.442  0.245  0.392
Se  0.442  0.755  0.892
Se  0.558  0.245  0.108
Se  0.558  0.755  0.608
Se  0.661  0.259  0.612
Se  0.661  0.741  0.112
Se  0.758  0.433  0.116
Se  0.758  0.567  0.616
I  0.500  0.279  0.750
I  0.500  0.721  0.250
F  0.055  0.213  0.608
F  0.055  0.787  0.108
F  0.089  0.112  0.404
F  0.089  0.888  0.904
F  0.209  0.107  0.114
F  0.209  0.893  0.614
F  0.791  0.107  0.386
F  0.791  0.893  0.886
F  0.911  0.112  0.096
F  0.911  0.888  0.596
F  0.945  0.213  0.892
F  0.945  0.787  0.392

***

# 2
Starting from a DFT-relaxed cell (GGA-PBE, Alexandria), the powder diffraction line list of LaMgAl was simulated for Cu Ka.

The 6 most intense peaks (10 to 90 degrees two-theta), sorted by position:
2θ/deg, Rel. int.
20.69, 65.4
31.72, 100.0
36.24, 47.0
48.92, 29.5
62.17, 19.1
62.37, 28.2

Crystal structure
a b c (Å): 4.958 4.958 3.741
angles (deg): 90.00 90.00 120.00
Element x y z (fractional)
La  0.000  0.000  0.000
Mg  0.667  0.333  0.500
Al  0.333  0.667  0.500

***

# 3
Starting from a DFT-relaxed cell (GGA-PBE, Alexandria), the powder diffraction line list of TiHgBr4 was simulated for Cu Ka.

The 6 most intense peaks (10 to 90 degrees two-theta), sorted by position:
2θ/deg, Rel. int.
19.38, 100.0
24.89, 30.4
25.13, 40.5
26.63, 34.9
30.63, 47.0
31.74, 43.4

Crystal structure
a b c (Å): 12.804 7.135 7.135
angles (deg): 113.20 90.00 90.00
Element x y z (fractional)
Ti  0.250  0.100  0.900
Ti  0.750  0.900  0.100
Hg  0.000  0.565  0.565
Hg  0.500  0.565  0.565
Br  0.101  0.125  0.723
Br  0.250  0.360  0.227
Br  0.250  0.782  0.923
Br  0.399  0.125  0.723
Br  0.601  0.723  0.125
Br  0.750  0.227  0.360
Br  0.750  0.923  0.782
Br  0.899  0.723  0.125

***

# 4
Starting from a DFT-relaxed cell (GGA-PBE, Alexandria), the powder diffraction line list of BMoP2 was simulated for Cu Ka.

The 6 most intense peaks (10 to 90 degrees two-theta), sorted by position:
2θ/deg, Rel. int.
19.66, 55.3
31.72, 100.0
35.84, 28.2
39.28, 47.2
55.23, 32.2
58.98, 27.1

Crystal structure
a b c (Å): 5.326 5.326 8.518
angles (deg): 90.00 90.00 90.00
Element x y z (fractional)
B  0.000  0.000  0.000
B  0.000  0.500  0.250
B  0.500  0.000  0.750
B  0.500  0.500  0.500
Mo  0.000  0.000  0.500
Mo  0.000  0.500  0.750
Mo  0.500  0.000  0.250
Mo  0.500  0.500  0.000
P  0.185  0.250  0.125
P  0.250  0.685  0.375
P  0.250  0.815  0.875
P  0.315  0.250  0.625
P  0.685  0.750  0.625
P  0.750  0.185  0.875
P  0.750  0.315  0.375
P  0.815  0.750  0.125

***

# 5
Starting from a DFT-relaxed cell (GGA-PBE, Alexandria), the powder diffraction line list of Cs3Cu2HgF9 was simulated for Cu Ka.

The 6 most intense peaks (10 to 90 degrees two-theta), sorted by position:
2θ/deg, Rel. int.
28.87, 100.0
41.28, 34.0
51.02, 10.8
51.20, 30.2
59.71, 10.5
82.65, 10.8

Crystal structure
a b c (Å): 6.177 6.177 7.598
angles (deg): 90.00 90.00 120.00
Element x y z (fractional)
Cs  0.000  0.000  0.000
Cs  0.333  0.667  0.667
Cs  0.667  0.333  0.333
Cu  0.333  0.667  0.152
Cu  0.667  0.333  0.848
Hg  0.000  0.000  0.500
F  0.000  0.500  0.000
F  0.178  0.356  0.315
F  0.178  0.822  0.315
F  0.356  0.178  0.685
F  0.500  0.000  0.000
F  0.500  0.500  0.000
F  0.644  0.822  0.315
F  0.822  0.178  0.685
F  0.822  0.644  0.685

***

# 6
Starting from a DFT-relaxed cell (GGA-PBE, Alexandria), the powder diffraction line list of Ti12AlTl3 was simulated for Cu Ka.

The 6 most intense peaks (10 to 90 degrees two-theta), sorted by position:
2θ/deg, Rel. int.
24.11, 61.0
34.36, 45.0
38.57, 33.6
42.42, 100.0
67.10, 50.4
82.68, 14.2

Crystal structure
a b c (Å): 5.218 5.220 10.442
angles (deg): 90.00 90.00 90.00
Element x y z (fractional)
Ti  0.000  0.000  0.123
Ti  0.000  0.000  0.375
Ti  0.000  0.000  0.625
Ti  0.000  0.000  0.877
Ti  0.247  0.500  0.243
Ti  0.247  0.500  0.757
Ti  0.500  0.248  0.500
Ti  0.500  0.256  0.000
Ti  0.500  0.744  0.000
Ti  0.500  0.752  0.500
Ti  0.753  0.500  0.243
Ti  0.753  0.500  0.757
Al  0.000  0.500  0.000
Tl  0.000  0.500  0.500
Tl  0.500  0.000  0.250
Tl  0.500  0.000  0.750

***

# 7
Starting from a DFT-relaxed cell (GGA-PBE, Alexandria), the powder diffraction line list of NdSmGaNi was simulated for Cu Ka.

The 6 most intense peaks (10 to 90 degrees two-theta), sorted by position:
2θ/deg, Rel. int.
25.86, 29.5
31.88, 100.0
33.21, 42.4
39.29, 40.1
41.46, 22.8
53.16, 21.7

Crystal structure
a b c (Å): 4.356 3.880 11.257
angles (deg): 90.00 90.00 90.00
Element x y z (fractional)
Nd  0.000  0.000  0.000
Nd  0.000  0.500  0.500
Sm  0.500  0.000  0.717
Sm  0.500  0.500  0.217
Ga  0.500  0.000  0.424
Ga  0.500  0.500  0.924
Ni  0.000  0.000  0.293
Ni  0.000  0.500  0.793

***

# 8
Starting from a DFT-relaxed cell (GGA-PBE, Alexandria), the powder diffraction line list of Ta5ZnOs6 was simulated for Cu Ka.

The 6 most intense peaks (10 to 90 degrees two-theta), sorted by position:
2θ/deg, Rel. int.
39.95, 100.0
40.91, 23.6
41.10, 23.0
59.38, 15.8
73.85, 16.7
74.11, 16.1

Crystal structure
a b c (Å): 7.682 7.682 7.682
angles (deg): 146.62 129.52 61.87
Element x y z (fractional)
Ta  0.000  0.000  0.000
Ta  0.160  0.660  0.500
Ta  0.334  0.334  0.000
Ta  0.666  0.666  0.000
Ta  0.840  0.340  0.500
Zn  0.500  0.000  0.500
Os  0.087  0.831  0.256
Os  0.259  0.500  0.759
Os  0.425  0.169  0.256
Os  0.575  0.831  0.744
Os  0.741  0.500  0.241
Os  0.913  0.169  0.744

***

# 9
Starting from a DFT-relaxed cell (GGA-PBE, Alexandria), the powder diffraction line list of ThMg3Zn9 was simulated for Cu Ka.

The 6 most intense peaks (10 to 90 degrees two-theta), sorted by position:
2θ/deg, Rel. int.
31.54, 63.8
33.58, 63.7
37.34, 53.9
38.94, 100.0
39.62, 57.8
39.83, 60.2

Crystal structure
a b c (Å): 7.058 7.058 6.933
angles (deg): 99.35 99.35 132.61
Element x y z (fractional)
Th  0.000  0.000  0.000
Mg  0.000  0.000  0.500
Mg  0.000  0.500  0.000
Mg  0.500  0.000  0.000
Zn  0.017  0.368  0.362
Zn  0.297  0.505  0.787
Zn  0.368  0.017  0.362
Zn  0.495  0.703  0.213
Zn  0.500  0.500  0.500
Zn  0.505  0.297  0.787
Zn  0.632  0.983  0.638
Zn  0.703  0.495  0.213
Zn  0.983  0.632  0.638

***

# 10
Starting from a DFT-relaxed cell (GGA-PBE, Alexandria), the powder diffraction line list of LaP2Pd6 was simulated for Cu Ka.

The 6 most intense peaks (10 to 90 degrees two-theta), sorted by position:
2θ/deg, Rel. int.
37.00, 100.0
41.72, 12.6
43.60, 38.9
61.93, 15.4
63.36, 12.5
75.69, 23.8

Crystal structure
a b c (Å): 4.152 4.152 8.659
angles (deg): 90.00 90.00 90.00
Element x y z (fractional)
La  0.000  0.000  0.000
P  0.500  0.500  0.131
P  0.500  0.500  0.869
Pd  0.000  0.000  0.500
Pd  0.000  0.500  0.276
Pd  0.000  0.500  0.724
Pd  0.500  0.000  0.276
Pd  0.500  0.000  0.724
Pd  0.500  0.500  0.500

***

# 11
Starting from a DFT-relaxed cell (GGA-PBE, Alexandria), the powder diffraction line list of Lu2WSe was simulated for Cu Ka.

The 6 most intense peaks (10 to 90 degrees two-theta), sorted by position:
2θ/deg, Rel. int.
30.96, 100.0
31.45, 93.2
40.19, 35.6
44.73, 90.3
47.22, 36.5
54.76, 50.6

Crystal structure
a b c (Å): 3.353 3.353 28.278
angles (deg): 90.00 90.00 120.00
Element x y z (fractional)
Lu  0.000  0.000  0.098
Lu  0.000  0.000  0.902
Lu  0.333  0.667  0.569
Lu  0.333  0.667  0.764
Lu  0.667  0.333  0.236
Lu  0.667  0.333  0.431
W  0.000  0.000  0.000
W  0.333  0.667  0.667
W  0.667  0.333  0.333
Se  0.000  0.000  0.500
Se  0.333  0.667  0.167
Se  0.667  0.333  0.833

***

# 12
Starting from a DFT-relaxed cell (GGA-PBE, Alexandria), the powder diffraction line list of Mn3ZnS6 was simulated for Cu Ka.

The 6 most intense peaks (10 to 90 degrees two-theta), sorted by position:
2θ/deg, Rel. int.
27.87, 100.0
28.31, 29.9
32.33, 19.9
38.97, 27.2
42.11, 25.8
47.70, 40.5

Crystal structure
a b c (Å): 7.634 7.634 6.218
angles (deg): 90.00 90.00 101.97
Element x y z (fractional)
Mn  0.101  0.899  0.500
Mn  0.190  0.418  0.412
Mn  0.418  0.190  0.912
Mn  0.582  0.810  0.412
Mn  0.810  0.582  0.912
Mn  0.899  0.101  0.000
Zn  0.311  0.689  0.905
Zn  0.689  0.311  0.405
S  0.063  0.599  0.682
S  0.140  0.193  0.716
S  0.193  0.140  0.216
S  0.274  0.726  0.273
S  0.401  0.937  0.682
S  0.497  0.503  0.486
S  0.503  0.497  0.986
S  0.599  0.063  0.182
S  0.726  0.274  0.773
S  0.807  0.860  0.716
S  0.860  0.807  0.216
S  0.937  0.401  0.182

***

# 13
Starting from a DFT-relaxed cell (GGA-PBE, Alexandria), the powder diffraction line list of Na23Sr6 was simulated for Cu Ka.

The 6 most intense peaks (10 to 90 degrees two-theta), sorted by position:
2θ/deg, Rel. int.
23.16, 30.0
26.07, 34.7
27.69, 100.0
30.20, 46.0
32.08, 24.6
46.00, 33.9

Crystal structure
a b c (Å): 11.838 11.838 11.838
angles (deg): 60.00 60.00 60.00
Element x y z (fractional)
Na  0.000  0.000  0.000
Na  0.000  0.000  0.500
Na  0.000  0.500  0.000
Na  0.000  0.500  0.500
Na  0.009  0.330  0.330
Na  0.118  0.118  0.118
Na  0.118  0.118  0.646
Na  0.118  0.646  0.118
Na  0.330  0.009  0.330
Na  0.330  0.330  0.009
Na  0.330  0.330  0.330
Na  0.354  0.882  0.882
Na  0.500  0.000  0.000
Na  0.500  0.000  0.500
Na  0.500  0.500  0.000
Na  0.646  0.118  0.118
Na  0.670  0.670  0.670
Na  0.670  0.670  0.991
Na  0.670  0.991  0.670
Na  0.882  0.354  0.882
Na  0.882  0.882  0.354
Na  0.882  0.882  0.882
Na  0.991  0.670  0.670
Sr  0.311  0.311  0.689
Sr  0.311  0.689  0.311
Sr  0.311  0.689  0.689
Sr  0.689  0.311  0.311
Sr  0.689  0.311  0.689
Sr  0.689  0.689  0.311